Diffraction record for Cu2GeTe3. The X-ray diffraction stick pattern is theoretical, not measured: it uses a DFT-relaxed cell (GGA-PBE, Alexandria) and Cu Kα X-rays.
Kinematic intensities with the Lorentz-polarization factor, no thermal factor.

Structural model:
```
24
Lattice="7.406 0.000 0.000 -0.011 8.558 0.000 -0.005 -4.271 10.478" Properties=species:S:1:pos:R:3 pbc="T T T"
Cu 0.000 0.000 0.000
Cu 0.030 -0.011 10.445
Cu 1.284 -2.121 7.048
Cu 2.583 4.276 3.438
Cu 3.761 6.373 0.008
Cu 4.919 0.007 7.059
Cu 4.976 4.286 7.019
Cu 6.153 2.148 3.447
Ge 1.269 2.132 7.093
Ge 2.486 0.009 3.476
Ge 3.789 -2.056 10.466
Ge 6.150 6.348 3.395
Te -0.013 4.341 7.897
Te 1.197 2.278 4.343
Te 1.291 6.283 4.447
Te 2.437 4.327 0.879
Te 2.468 -0.068 0.745
Te 3.757 -2.157 7.801
Te 3.820 2.165 7.890
Te 4.942 4.210 4.448
Te 5.032 0.053 4.478
Te 6.238 6.393 0.732
Te 6.303 2.145 0.875
Te 7.364 -0.063 7.878
```

Largest 10 diffraction maxima, most intense first, 15 to 90 degrees two-theta:
d = 3.492 Å, I = 1000; d = 2.139 Å, I = 705; d = 1.824 Å, I = 453; d = 1.235 Å, I = 143; d = 1.388 Å, I = 117; d = 1.512 Å, I = 110; d = 1.164 Å, I = 79; d = 3.025 Å, I = 67; d = 1.387 Å, I = 58; d = 1.236 Å, I = 54